Entry 1:
# AsPd6S
Simulated powder diffraction line list, CuKα. Input: a structure optimized by DFT (PBE).
Kinematic intensities with the Lorentz-polarization factor, no thermal factor.

Peak list (6 most intense, 2θ from 10° to 90°, low angle first)
2theta	I (rel.)	index
32.63	15	1 0 4
36.81	100	1 1 3
37.78	15	2 0 2
47.51	16	3 -1 1
52.35	22	2 -1 6
53.72	21	3 0 0

Atomic structure:
Unit cell a=5.9107 b=5.9107 c=13.0019 alpha=90.00 beta=90.00 gamma=120.00
Space group R-3 (No. 148, hexagonal axes)
One atom of each set of equivalent atoms:
As1 0.0000 0.0000 0.0000 (multiplicity 3)
Pd1 0.0096 0.2883 0.2483 (multiplicity 18)
S1 0.0000 0.0000 0.5000 (multiplicity 3)



Entry 2:
# Sb2As2Pd
Simulated powder diffraction line list, CuKα. Input: a structure optimized by DFT (PBE).
Kinematic intensities with the Lorentz-polarization factor, no thermal factor.

Peak list (6 most intense, 2θ from 10° to 90°, low angle first)
2theta	I (rel.)	index
17.03	34	0 0 1
32.46	74	-1 1 1
32.59	98	1 0 1
33.28	76	1 1 -2
34.13	100	0 2 -1
47.27	50	2 1 -1

Atomic structure:
Unit cell a=4.2046 b=5.2566 c=6.0528 alpha=114.27 beta=107.08 gamma=91.07
Space group P-1 (No. 2)
One atom of each set of equivalent atoms:
Sb1 0.1560 0.3961 0.2888 (multiplicity 2)
As1 0.3796 0.8628 0.2050 (multiplicity 2)
Pd1 0.0000 0.0000 0.5000 (multiplicity 1)



Entry 3:
# Sb3AsPd6
Simulated powder diffraction line list, CuKα. Input: a structure optimized by DFT (PBE).
Kinematic intensities with the Lorentz-polarization factor, no thermal factor.

Peak list (6 most intense, 2θ from 10° to 90°, low angle first)
2theta	I (rel.)	index
27.65	39	2 2 1
39.28	100	3 3 1
40.84	36	3 1 2
41.62	20	0 2 3
41.98	25	0 6 0
48.54	21	0 4 3

Atomic structure:
Unit cell a=8.8396 b=12.9120 c=6.9129 alpha=90.00 beta=90.00 gamma=90.00
Space group Cmc2_1 (No. 36)
One atom of each set of equivalent atoms:
Sb1 0.0000 0.0801 0.0000 (multiplicity 4)
Sb2 0.1918 0.4029 0.8421 (multiplicity 8)
As1 0.0000 0.2981 0.3806 (multiplicity 4)
Pd1 0.0000 0.2535 0.7226 (multiplicity 4)
Pd2 0.0000 0.4551 0.1774 (multiplicity 4)
Pd3 0.1687 0.0651 0.6789 (multiplicity 8)
Pd4 0.1699 0.2429 0.1159 (multiplicity 8)



Entry 4:
# Sr3Sb2AsPd9
Simulated powder diffraction line list, CuKα. Input: a structure optimized by DFT (PBE).
Kinematic intensities with the Lorentz-polarization factor, no thermal factor.

Peak list (6 most intense, 2θ from 10° to 90°, low angle first)
2theta	I (rel.)	index
17.97	34	1 0 1
31.58	49	0 2 1
36.40	100	2 0 2
41.18	17	2 1 1
51.94	27	0 2 4
52.92	28	2 2 0

Atomic structure:
Unit cell a=6.9209 b=6.9209 c=8.7024 alpha=90.00 beta=90.00 gamma=120.00
Space group P-3m1 (No. 164)
One atom of each set of equivalent atoms:
Sr1 0.0000 0.0000 0.0000 (multiplicity 1)
Sr2 0.3333 0.6667 0.6811 (multiplicity 2)
Sb1 0.3333 0.6667 0.1953 (multiplicity 2)
As1 0.0000 0.0000 0.5000 (multiplicity 1)
Pd1 0.0000 0.5000 0.0000 (multiplicity 3)
Pd2 0.1359 0.2719 0.2956 (multiplicity 6)



Entry 5:
# Sr2Sb3AsPd4
Simulated powder diffraction line list, CuKα. Input: a structure optimized by DFT (PBE).
Kinematic intensities with the Lorentz-polarization factor, no thermal factor.

Peak list (6 most intense, 2θ from 10° to 90°, low angle first)
2theta	I (rel.)	index
31.73	72	1 0 3
31.95	100	1 1 2
38.61	93	2 0 0
43.77	56	1 1 4
50.81	37	2 1 3
55.76	31	2 2 0

Atomic structure:
Unit cell a=4.6633 b=4.6633 c=10.6231 alpha=90.00 beta=90.00 gamma=90.00
Space group P-4m2 (No. 115)
One atom of each set of equivalent atoms:
Sr1 0.0000 0.5000 0.2502 (multiplicity 2)
Sb1 0.0000 0.0000 0.0000 (multiplicity 1)
Sb2 0.0000 0.5000 0.6304 (multiplicity 2)
As1 0.5000 0.5000 0.0000 (multiplicity 1)
Pd1 0.0000 0.0000 0.5000 (multiplicity 1)
Pd2 0.0000 0.5000 0.8800 (multiplicity 2)
Pd3 0.5000 0.5000 0.5000 (multiplicity 1)



Entry 6:
# USb2As2Pd7
Simulated powder diffraction line list, CuKα. Input: a structure optimized by DFT (PBE).
Kinematic intensities with the Lorentz-polarization factor, no thermal factor.

Peak list (6 most intense, 2θ from 10° to 90°, low angle first)
2theta	I (rel.)	index
11.52	70	0 0 2
33.73	55	2 0 -3
36.25	100	2 0 -4
39.54	64	0 2 4
43.46	94	2 0 4
45.29	100	2 2 -1

Atomic structure:
Unit cell a=5.6644 b=5.6627 c=15.6181 alpha=90.00 beta=100.39 gamma=90.00
Space group C2/m (No. 12)
One atom of each set of equivalent atoms:
U1 0.0000 0.0000 0.0000 (multiplicity 2)
Sb1 0.2127 0.0000 0.4265 (multiplicity 4)
As1 0.1177 0.5000 0.2393 (multiplicity 4)
Pd1 0.0000 0.5000 0.0000 (multiplicity 2)
Pd2 0.1810 0.2499 0.8593 (multiplicity 8)
Pd3 0.1990 0.5000 0.3996 (multiplicity 4)